For KFePbOF6, a PBE+U-relaxed structure gives the computed powder diffraction line list in this record (Cu Ka).
Intensities are scaled so that the largest is 100.

Cell and atoms:
Cell: 6.1698 6.1717 8.9950 Å, 88.79 89.22 88.72°
Sites, in units of the cell vectors:
1 K 0.2418 0.2613 0.9999
2 K 0.7582 0.7387 0.0001
3 Fe 0.2569 0.7606 0.7794
4 Fe 0.7431 0.2394 0.2206
5 Pb 0.2600 0.7581 0.2762
6 Pb 0.7400 0.2419 0.7238
7 O 0.0725 0.4295 0.5010
8 O 0.9275 0.5705 0.4990
9 F 0.0279 0.9869 0.7970
10 F 0.0334 0.5387 0.7949
11 F 0.2520 0.7457 0.0052
12 F 0.2871 0.7988 0.5696
13 F 0.4823 0.5299 0.7911
14 F 0.4824 0.9840 0.8074
15 F 0.5176 0.0160 0.1926
16 F 0.5177 0.4701 0.2089
17 F 0.7129 0.2012 0.4304
18 F 0.7480 0.2543 0.9948
19 F 0.9666 0.4613 0.2051
20 F 0.9721 0.0131 0.2030

Top 12 peaks for 5 to 70 degrees two-theta, sorted by position:
| two_theta | I/Imax |
| --- | --- |
| 17.29 | 63.0 |
| 17.57 | 44.1 |
| 19.75 | 71.1 |
| 20.13 | 80.8 |
| 20.59 | 100.0 |
| 27.99 | 47.7 |
| 28.65 | 81.2 |
| 28.76 | 34.5 |
| 28.95 | 72.7 |
| 40.92 | 37.5 |
| 41.88 | 34.9 |
| 46.86 | 29.3 |